This entry pairs a crystal structure of Ca2ReNiO6 with its calculated X-ray powder pattern. Radiation: Cu Kα X-rays. Structure: a crystal structure in Alexandria, relaxed with PBE+U.

Cell and atoms:
abc: 5.5543 5.5543 3.9584
angles: 90.00 90.00 90.00
Atoms (fractional coordinates):
1 Ca 0.0000 0.5000 0.0000
2 Ca 0.5000 0.0000 0.0000
3 Re 0.0000 0.0000 0.5460
4 Ni 0.5000 0.5000 0.5449
5 O 0.0000 0.0000 0.0530
6 O 0.2407 0.2407 0.5620
7 O 0.2407 0.7593 0.5620
8 O 0.5000 0.5000 0.0476
9 O 0.7593 0.2407 0.5620
10 O 0.7593 0.7593 0.5620

Peak list (10 most intense, 2θ = 10–90°, by intensity)
2.788 Å, 2θ 32.10, rel. 100, (1 1 1); 3.928 Å, 2θ 22.64, rel. 53, (1 1 0); 2.777 Å, 2θ 32.23, rel. 50, (2 0 0); 5.554 Å, 2θ 15.96, rel. 44, (1 0 0); 1.605 Å, 2θ 57.39, rel. 38, (3 1 1); 1.964 Å, 2θ 46.23, rel. 36, (2 2 0); 3.958 Å, 2θ 22.46, rel. 29, (0 0 1); 3.224 Å, 2θ 27.67, rel. 24, (1 0 1); 1.758 Å, 2θ 52.02, rel. 23, (2 2 1); 1.394 Å, 2θ 67.15, rel. 20, (2 2 2)